(1)
Starting from DFT lattice parameters and positions (PBE), the PXRD pattern of Li2DyTm2Ga2 was simulated for Cu Kα.
No peak broadening, texture or thermal motion is included.

Structure:
```
Li2DyTm2Ga2
1.0
2.2881 1.3211 8.6538
-2.2881 1.3211 8.6538
0.0000 -2.6421 8.6538
Li Dy Tm Ga
2 1 2 2
Direct
0.1003 0.1003 0.1003 Li
0.8997 0.8997 0.8997 Li
0.5000 0.5000 0.5000 Dy
0.3731 0.3731 0.3731 Tm
0.6269 0.6269 0.6269 Tm
0.2399 0.2399 0.2399 Ga
0.7601 0.7601 0.7601 Ga
```

Main lines, low angle first (2θ from 15° to 90°):
2θ 22.70, intensity 100
2θ 33.08, intensity 63
2θ 35.76, intensity 87
2θ 39.38, intensity 72
2θ 54.24, intensity 26
2θ 69.06, intensity 25

(2)
Starting from DFT lattice parameters and positions (PBE), the PXRD pattern of Tb3Sm3YS8 was simulated for Cu Kα.
No peak broadening, texture or thermal motion is included.

Structure:
```
Tb3Sm3YS8
1.0
3.9508 2.2810 6.4886
-3.9508 2.2810 6.4886
0.0000 -4.5620 6.4886
Tb Sm Y S
3 3 1 8
Direct
0.0000 0.5000 0.5000 Tb
0.5000 0.0000 0.5000 Tb
0.5000 0.5000 0.0000 Tb
0.0000 0.0000 0.5000 Sm
0.0000 0.5000 0.0000 Sm
0.5000 0.0000 0.0000 Sm
0.0000 0.0000 0.0000 Y
0.2481 0.2481 0.7470 S
0.2481 0.7470 0.2481 S
0.2524 0.2524 0.2524 S
0.2530 0.7519 0.7519 S
0.7470 0.2481 0.2481 S
0.7476 0.7476 0.7476 S
0.7519 0.2530 0.7519 S
0.7519 0.7519 0.2530 S
```

Main lines, low angle first (2θ from 15° to 90°):
2θ 27.64, intensity 48
2θ 31.98, intensity 100
2θ 45.76, intensity 36
2θ 45.94, intensity 36
2θ 54.40, intensity 24
2θ 57.07, intensity 18

(3)
Starting from DFT lattice parameters and positions (PBE), the PXRD pattern of KSm4Ga3O12 was simulated for Cu Kα.
No peak broadening, texture or thermal motion is included.

Structure:
```
KSm4Ga3O12
1.0
-4.1989 4.1989 4.1989
4.1989 -4.1989 4.1989
4.1989 4.1989 -4.1989
K Sm Ga O
1 4 3 12
Direct
0.0000 0.0000 0.0000 K
0.0000 0.0000 0.5000 Sm
0.0000 0.5000 0.0000 Sm
0.5000 0.0000 0.0000 Sm
0.5000 0.5000 0.5000 Sm
0.0000 0.5000 0.5000 Ga
0.5000 0.0000 0.5000 Ga
0.5000 0.5000 0.0000 Ga
0.1554 0.3335 0.4889 O
0.1554 0.6665 0.8219 O
0.1781 0.8446 0.3335 O
0.3335 0.1781 0.8446 O
0.3335 0.4889 0.1554 O
0.4889 0.1554 0.3335 O
0.5111 0.8446 0.6665 O
0.6665 0.5111 0.8446 O
0.6665 0.8219 0.1554 O
0.8219 0.1554 0.6665 O
0.8446 0.3335 0.1781 O
0.8446 0.6665 0.5111 O
```

Main lines, low angle first (2θ from 15° to 90°):
2θ 21.16, intensity 19
2θ 30.10, intensity 100
2θ 43.09, intensity 20
2θ 53.45, intensity 48
2θ 70.98, intensity 19
2θ 86.78, intensity 20

(4)
Starting from DFT lattice parameters and positions (PBE), the PXRD pattern of CsLiFeH6 was simulated for Cu Kα.
No peak broadening, texture or thermal motion is included.

Structure:
```
CsLiFeH6
1.0
3.9266 -2.5866 0.0000
3.9266 2.5866 0.0000
-1.4364 0.0000 5.0891
Cs Li Fe H
1 1 1 6
Direct
0.0000 0.0000 0.0000 Cs
0.3773 0.3773 0.5278 Li
0.7159 0.7159 0.5538 Fe
0.3965 0.9650 0.6114 H
0.5518 0.5518 0.3277 H
0.6095 0.6095 0.7624 H
0.6347 0.9630 0.3765 H
0.9630 0.6347 0.3765 H
0.9650 0.3965 0.6114 H
```

Main lines, low angle first (2θ from 15° to 90°):
2θ 20.81, intensity 85
2θ 25.09, intensity 100
2θ 25.25, intensity 53
2θ 29.30, intensity 45
2θ 33.14, intensity 31
2θ 39.80, intensity 30

(5)
Starting from DFT lattice parameters and positions (PBE), the PXRD pattern of NpSI3 was simulated for Cu Kα.
No peak broadening, texture or thermal motion is included.

Structure:
```
NpSI3
1.0
4.1832 -7.4993 0.0000
4.1832 7.4993 0.0000
-1.3149 0.0000 15.1366
Np S I
4 4 12
Direct
0.0286 0.1222 0.1409 Np
0.1222 0.0286 0.6409 Np
0.8778 0.9714 0.3591 Np
0.9714 0.8778 0.8591 Np
0.0512 0.7185 0.7214 S
0.2815 0.9488 0.7786 S
0.7185 0.0512 0.2214 S
0.9488 0.2815 0.2786 S
0.0016 0.7603 0.4753 I
0.1658 0.2859 0.7993 I
0.2397 0.9984 0.0247 I
0.2510 0.4933 0.0869 I
0.2859 0.1658 0.2993 I
0.4933 0.2510 0.5869 I
0.5067 0.7490 0.4131 I
0.7141 0.8342 0.7007 I
0.7490 0.5067 0.9131 I
0.7603 0.0016 0.9753 I
0.8342 0.7141 0.2007 I
0.9984 0.2397 0.5247 I
```

Main lines, low angle first (2θ from 15° to 90°):
2θ 24.70, intensity 100
2θ 26.35, intensity 57
2θ 33.92, intensity 68
2θ 35.89, intensity 65
2θ 36.01, intensity 64
2θ 42.87, intensity 81